Ga: simulated X-ray diffraction stick pattern (Cu Kα X-rays), based on a crystal structure in the Materials Project, relaxed with GGA-PBE.
No peak broadening, texture or thermal motion is included.

Principal peaks in the range 2θ from 5° to 70°, by angle:
d_spacing  Position (°2θ)  I (rel.)
2.631  34.08  51
2.545  35.27  100
2.224  40.56  33
2.018  44.92  32
2.006  45.19  54
1.692  54.22  21
1.551  59.60  11
1.495  62.10  5
1.377  68.10  7
1.346  69.85  18

Structural model:
Unit cell a=4.6570 b=4.6570 c=3.1026 alpha=90.00 beta=90.00 gamma=145.61
Element x y z (fractional)
Ga (0.1317, 0.8683, 0.7500)
Ga (0.8683, 0.1317, 0.2500)

***

HfNbCN: simulated X-ray diffraction stick pattern (Cu Kα X-rays), based on a crystal structure in the Materials Project, relaxed with GGA-PBE.
No peak broadening, texture or thermal motion is included.

Principal peaks in the range 2θ from 5° to 70°, by angle:
d_spacing  Position (°2θ)  I (rel.)
5.261  16.85  19
2.731  32.79  12
2.630  34.08  34
2.616  34.27  100
2.269  39.73  94
1.608  57.31  31
1.601  57.57  31
1.372  68.39  14
1.368  68.62  28
1.366  68.74  14

Structural model:
Unit cell a=5.5762 b=5.5762 c=5.5762 alpha=33.37 beta=33.37 gamma=33.37
Element x y z (fractional)
Hf (0.0000, 0.0000, 0.0000)
Nb (0.4952, 0.4952, 0.4952)
C (0.7488, 0.7488, 0.7488)
N (0.2490, 0.2490, 0.2490)